Starting from DFT lattice parameters and positions (GGA-PBE), the X-ray diffraction stick pattern of GaNi4Pt2 was calculated for Cu Kα.
Kinematic intensities with the Lorentz-polarization factor, no thermal factor.

Structural model:
a b c (Å): 5.109 6.183 6.820
angles (deg): 64.14 69.16 74.52
Positions (direct):
Ga  0.000  0.000  0.000
Ga  0.199  0.760  0.547
Ni  0.050  0.178  0.254
Ni  0.284  0.131  0.569
Ni  0.332  0.324  0.842
Ni  0.418  0.710  0.852
Ni  0.477  0.906  0.117
Ni  0.562  0.274  0.142
Ni  0.700  0.861  0.419
Ni  0.908  0.603  0.981
Pt  0.144  0.572  0.271
Pt  0.612  0.468  0.401
Pt  0.759  0.023  0.693
Pt  0.856  0.428  0.724

Most intense lines, 2θ from 10° to 90°, in order of falling intensity:
45.4°, intensity 100; 44.8°, intensity 98; 41.6°, intensity 83; 39.9°, intensity 50; 45.0°, intensity 49; 45.8°, intensity 41; 17.4°, intensity 25; 39.7°, intensity 19

Starting from DFT lattice parameters and positions (GGA-PBE), the X-ray diffraction stick pattern of Nd2Sm7Y4 was calculated for Cu Kα.
Kinematic intensities with the Lorentz-polarization factor, no thermal factor.

Structural model:
a b c (Å): 6.202 6.807 12.120
angles (deg): 86.62 75.30 63.19
Positions (direct):
Nd  0.000  0.000  0.000
Nd  0.262  0.423  0.083
Sm  0.036  0.818  0.319
Sm  0.112  0.283  0.390
Sm  0.428  0.591  0.770
Sm  0.507  0.058  0.835
Sm  0.562  0.869  0.169
Sm  0.654  0.347  0.253
Sm  0.872  0.537  0.911
Y  0.040  0.126  0.694
Y  0.498  0.749  0.469
Y  0.580  0.206  0.544
Y  0.965  0.663  0.617

Most intense lines, 2θ from 10° to 90°, in order of falling intensity:
31.7°, intensity 100; 31.8°, intensity 100; 30.9°, intensity 80; 28.8°, intensity 36; 55.5°, intensity 21; 48.1°, intensity 16; 32.4°, intensity 15; 52.3°, intensity 15

Starting from DFT lattice parameters and positions (GGA-PBE), the X-ray diffraction stick pattern of Ce2NdH8 was calculated for Cu Kα.
Kinematic intensities with the Lorentz-polarization factor, no thermal factor.

Structural model:
a b c (Å): 6.682 6.682 6.682
angles (deg): 146.30 133.21 58.90
Positions (direct):
Ce  0.172  0.172  0.000
Ce  0.828  0.828  0.000
Nd  0.500  0.500  0.000
H  0.079  0.340  0.738
H  0.233  0.000  0.233
H  0.331  0.831  0.500
H  0.398  0.660  0.738
H  0.602  0.340  0.262
H  0.669  0.169  0.500
H  0.767  0.000  0.767
H  0.921  0.660  0.262

Most intense lines, 2θ from 10° to 90°, in order of falling intensity:
28.5°, intensity 100; 32.7°, intensity 34; 55.8°, intensity 30; 47.7°, intensity 26; 33.8°, intensity 16; 57.3°, intensity 14; 46.9°, intensity 13; 59.0°, intensity 13